Record 1
The following is a theoretical powder X-ray diffraction pattern of NbAl2Fe9. It was derived from DFT lattice parameters and positions (PBE), using a wavelength of 1.5418 Å.
Intensities are scaled so that the largest is 100.

Most intense lines, 2θ = 10–90°, in order of rising 2θ:
d [Å], Rel. int., (hkl)
7.784, 21, 0 0 3
3.346, 17, 1 0 4
2.357, 20, 1 1 0
2.034, 28, 0 2 1
2.016, 100, 1 1 6
2.011, 18, 2 0 2
1.946, 30, 0 0 12
1.871, 26, 2 0 5
1.285, 21, 0 3 6
1.179, 20, 2 2 0

Atomic structure:
```
data_NbAl2Fe9
_cell_length_a 4.7145
_cell_length_b 4.7145
_cell_length_c 23.3531
_cell_angle_alpha 90.00
_cell_angle_beta 90.00
_cell_angle_gamma 120.00
_space_group_name_H-M_alt 'R -3 m'
_space_group_IT_number 166
_space_group_name_Hall '-R 3 2"'
loop_
_atom_site_label
_atom_site_type_symbol
_atom_site_fract_x
_atom_site_fract_y
_atom_site_fract_z
Nb1 Nb 0.0000 0.0000 0.0000
Al1 Al 0.0000 0.0000 0.1427
Fe1 Fe 0.0000 0.0000 0.3344
Fe2 Fe 0.0000 0.0000 0.5000
Fe3 Fe 0.0065 0.5033 0.9140
```

Record 2
The following is a theoretical powder X-ray diffraction pattern of NbAlFe4. It was derived from DFT lattice parameters and positions (PBE), using a wavelength of 1.5418 Å.
Intensities are scaled so that the largest is 100.

Most intense lines, 2θ = 10–90°, in order of rising 2θ:
d [Å], Rel. int., (hkl)
7.699, 38, 0 0 1
2.819, 21, 1 0 2
2.390, 32, 1 1 0
2.181, 78, 0 1 3
2.030, 95, 1 1 2
1.999, 100, 0 2 1
1.823, 26, 2 0 2
1.336, 28, 1 2 3
1.235, 25, 2 0 5
1.195, 26, 2 2 0

Atomic structure:
```
data_NbAlFe4
_cell_length_a 4.7799
_cell_length_b 4.7799
_cell_length_c 7.6992
_cell_angle_alpha 90.00
_cell_angle_beta 90.00
_cell_angle_gamma 120.00
_space_group_name_H-M_alt 'P -3 m 1'
_space_group_IT_number 164
_space_group_name_Hall '-P 3 2"'
loop_
_atom_site_label
_atom_site_type_symbol
_atom_site_fract_x
_atom_site_fract_y
_atom_site_fract_z
Nb1 Nb 0.3333 0.6667 0.0779
Al1 Al 0.3333 0.6667 0.4451
Fe1 Fe 0.0000 0.0000 0.0000
Fe2 Fe 0.0000 0.0000 0.5000
Fe3 Fe 0.1691 0.3382 0.7475
```

Record 3
The following is a theoretical powder X-ray diffraction pattern of NbAl5Fe6. It was derived from DFT lattice parameters and positions (PBE), using a wavelength of 1.5418 Å.
Intensities are scaled so that the largest is 100.

Most intense lines, 2θ = 10–90°, in order of rising 2θ:
d [Å], Rel. int., (hkl)
6.160, 3, 0 0 2
5.250, 4, 0 1 1
3.354, 4, 1 1 0
2.948, 3, 1 1 2
2.905, 6, 1 0 3
2.054, 100, 2 0 0
1.453, 10, 2 0 6
1.451, 5, 0 4 0
1.187, 10, 3 2 3
1.185, 20, 2 4 0

Atomic structure:
```
data_NbAl5Fe6
_cell_length_a 4.115
_cell_length_b 5.803
_cell_length_c 12.320
_cell_angle_alpha 90.00
_cell_angle_beta 90.00
_cell_angle_gamma 90.00
_space_group_name_H-M_alt 'I m m m'
_space_group_IT_number 71
_space_group_name_Hall '-I 2 2'
loop_
_atom_site_label
_atom_site_type_symbol
_atom_site_fract_x
_atom_site_fract_y
_atom_site_fract_z
Nb1 Nb 0.000 0.000 0.000
Al1 Al 0.000 0.000 0.333
Al2 Al 0.000 0.500 0.000
Al3 Al 0.000 0.500 0.335
Fe1 Fe 0.000 0.242 0.500
Fe2 Fe 0.000 0.254 0.170
```